Calculated X-ray diffraction stick pattern
Compound: KTl3Mo2O8
Radiation: Cu Kα (λ = 1.5418 Å)
Structure: a cell relaxed with PBE+U
Peak positions follow from Bragg's law for the DFT cell and can differ from measured ones.

Structure:
abc: 6.3756 6.3756 8.2300
angles: 90.00 90.00 120.00
Space group P-3m1 (No. 164)
Unique sites:
K (0.0000, 0.0000, 0.0000) x1
Tl (0.0000, 0.0000, 0.5000) x1
Tl (0.3333, 0.6667, 0.1824) x2
Mo (0.3333, 0.6667, 0.6961) x2
O (0.1800, 0.3600, 0.7705) x6
O (0.3333, 0.6667, 0.4773) x2

Peak list (6 most intense, 10 to 90 degrees two-theta, in order of rising 2θ)
d (Å)	I_rel	(hkl)
4.585	32.7	1 0 1
3.299	93.7	0 1 2
3.188	100.0	1 1 0
2.293	43.0	2 0 2
1.928	21.5	1 0 4
1.861	35.6	1 2 2